For PmTaMoO6, a crystal structure in Alexandria, relaxed with GGA+U gives the computed powder XRD pattern in this record (a wavelength of 1.5418 Å).

Structure:
Cell lengths 4.9595, 4.9595, 9.8777 Å; angles 90.00, 90.00, 90.00 degrees
Space group P4_2nm (No. 102)
Unique sites:
Pm: 0.0000 0.0000 0.0000 (multiplicity 2)
Ta: 0.0000 0.0000 0.3365 (multiplicity 2)
Mo: 0.0000 0.0000 0.6713 (multiplicity 2)
O: 0.1749 0.1749 0.4985 (multiplicity 4)
O: 0.2074 0.2074 0.1921 (multiplicity 4)
O: 0.2165 0.2165 0.8185 (multiplicity 4)

Most intense lines, 15° ≤ 2θ ≤ 90°, low angle first:
h k l, 2θ (°), d_spacing, I (rel.)
1 1 0, 25.4, 3.507, 1000
1 0 3, 32.6, 2.743, 855
2 0 0, 36.2, 2.480, 249
2 1 3, 49.6, 1.840, 669
2 2 0, 52.2, 1.753, 168
3 1 0, 58.9, 1.568, 166
1 1 6, 62.3, 1.490, 159
3 0 3, 62.9, 1.477, 192
2 0 6, 68.4, 1.372, 92
3 2 3, 74.8, 1.269, 154
3 1 6, 85.5, 1.136, 121
4 1 3, 86.1, 1.130, 133